Record 1
Calculated powder diffraction line list
Compound: CaNiW
Radiation: CuKα
Structure: a crystal structure in Alexandria, relaxed with PBE

Atomic structure:
abc: 7.7894 3.4394 8.6127
angles: 90.00 90.00 90.00
Space group Pnma (No. 62)
Inequivalent atoms, fractional coordinates:
1 Ca 0.0453 0.2500 0.1706 (multiplicity 4)
2 Ni 0.2409 0.7500 0.3622 (multiplicity 4)
3 W 0.1117 0.2500 0.5389 (multiplicity 4)

Principal peaks in the range 10 to 90 degrees two-theta, low angle first:
15.3°, 5.777 Å, intensity 100.0, (1 0 1)
20.6°, 4.306 Å, intensity 29.7, (0 0 2)
33.3°, 2.694 Å, intensity 22.8, (1 0 3)
34.8°, 2.578 Å, intensity 38.7, (2 1 0)
35.3°, 2.540 Å, intensity 20.9, (1 1 2)
40.6°, 2.224 Å, intensity 17.9, (3 0 2)
40.8°, 2.212 Å, intensity 28.8, (2 1 2)
40.9°, 2.204 Å, intensity 16.5, (0 1 3)
42.6°, 2.121 Å, intensity 27.8, (1 1 3)
45.0°, 2.015 Å, intensity 32.0, (3 1 1)

Record 2
Calculated powder diffraction line list
Compound: Ca2Cu3Sn4Au
Radiation: CuKα
Structure: a crystal structure in Alexandria, relaxed with PBE

Atomic structure:
abc: 4.5727 4.5727 10.7982
angles: 90.00 90.00 90.00
Space group P-4m2 (No. 115)
Inequivalent atoms, fractional coordinates:
1 Ca 0.0000 0.5000 0.2400 (multiplicity 2)
2 Cu 0.0000 0.0000 0.0000 (multiplicity 1)
3 Cu 0.0000 0.5000 0.6289 (multiplicity 2)
4 Sn 0.0000 0.0000 0.5000 (multiplicity 1)
5 Sn 0.0000 0.5000 0.8637 (multiplicity 2)
6 Sn 0.5000 0.5000 0.5000 (multiplicity 1)
7 Au 0.5000 0.5000 0.0000 (multiplicity 1)

Principal peaks in the range 10 to 90 degrees two-theta, low angle first:
16.4°, 5.399 Å, intensity 44.7, (0 0 2)
21.1°, 4.211 Å, intensity 38.5, (1 0 1)
31.6°, 2.828 Å, intensity 28.7, (1 0 3)
32.3°, 2.774 Å, intensity 100.0, (1 1 2)
39.4°, 2.286 Å, intensity 68.7, (2 0 0)
43.0°, 2.105 Å, intensity 17.1, (2 0 2)
43.7°, 2.072 Å, intensity 69.7, (1 1 4)
57.0°, 1.617 Å, intensity 23.3, (2 2 0)
67.0°, 1.397 Å, intensity 24.2, (3 1 2)
74.4°, 1.275 Å, intensity 29.7, (3 1 4)

Record 3
Calculated powder diffraction line list
Compound: LiNdGdBi
Radiation: CuKα
Structure: a crystal structure in Alexandria, relaxed with PBE

Atomic structure:
abc: 7.6624 7.6624 7.6624
angles: 90.00 90.00 90.00
Space group F-43m (No. 216)
Inequivalent atoms, fractional coordinates:
1 Li 0.0000 0.0000 0.0000 (multiplicity 4)
2 Nd 0.2500 0.2500 0.2500 (multiplicity 4)
3 Gd 0.2500 0.2500 0.7500 (multiplicity 4)
4 Bi 0.0000 0.0000 0.5000 (multiplicity 4)

Principal peaks in the range 10 to 90 degrees two-theta, low angle first:
20.1°, 4.424 Å, intensity 34.8, (1 1 1)
33.1°, 2.709 Å, intensity 100.0, (2 2 0)
39.0°, 2.310 Å, intensity 20.2, (3 1 1)
47.5°, 1.916 Å, intensity 18.4, (4 0 0)
52.0°, 1.758 Å, intensity 9.0, (3 3 1)
59.1°, 1.564 Å, intensity 38.6, (4 2 2)
63.0°, 1.475 Å, intensity 6.8, (5 1 1)
69.4°, 1.355 Å, intensity 12.0, (4 4 0)
73.1°, 1.295 Å, intensity 6.8, (5 3 1)
79.0°, 1.212 Å, intensity 16.9, (6 2 0)

Record 4
Calculated powder diffraction line list
Compound: CsBeGeO4
Radiation: CuKα
Structure: a crystal structure in Alexandria, relaxed with PBE

Atomic structure:
abc: 5.1263 5.3022 7.4486
angles: 90.00 92.10 90.00
Space group P2_1/m (No. 11)
Inequivalent atoms, fractional coordinates:
1 Cs 0.2379 0.2500 0.4221 (multiplicity 2)
2 Be 0.3395 0.2500 0.8830 (multiplicity 2)
3 Ge 0.1628 0.7500 0.0229 (multiplicity 2)
4 O 0.1179 0.0222 0.8611 (multiplicity 4)
5 O 0.3837 0.7500 0.2234 (multiplicity 2)
6 O 0.4669 0.2500 0.0861 (multiplicity 2)

Principal peaks in the range 10 to 90 degrees two-theta, low angle first:
20.7°, 4.294 Å, intensity 24.2, (1 0 -1)
23.9°, 3.722 Å, intensity 37.6, (0 0 2)
26.7°, 3.337 Å, intensity 100.0, (1 1 -1)
27.3°, 3.268 Å, intensity 88.9, (1 1 1)
29.3°, 3.046 Å, intensity 44.9, (0 1 2)
30.2°, 2.960 Å, intensity 28.5, (1 0 2)
33.8°, 2.651 Å, intensity 45.5, (0 2 0)
45.6°, 1.990 Å, intensity 31.3, (2 1 -2)
53.2°, 1.722 Å, intensity 23.6, (1 2 -3)
56.3°, 1.634 Å, intensity 20.9, (1 3 -1)

Record 5
Calculated powder diffraction line list
Compound: Tm2Cu2Si3
Radiation: CuKα
Structure: a crystal structure in Alexandria, relaxed with PBE

Atomic structure:
abc: 4.1187 17.4233 6.5560
angles: 90.00 90.00 90.00
Space group Cmcm (No. 63)
Inequivalent atoms, fractional coordinates:
1 Tm 0.0000 0.0512 0.2500 (multiplicity 4)
2 Tm 0.0000 0.1569 0.7500 (multiplicity 4)
3 Cu 0.0000 0.3101 0.5589 (multiplicity 8)
4 Si 0.0000 0.2222 0.2500 (multiplicity 4)
5 Si 0.0000 0.4380 0.0683 (multiplicity 8)

Principal peaks in the range 10 to 90 degrees two-theta, low angle first:
22.2°, 4.008 Å, intensity 26.2, (1 1 0)
24.5°, 3.628 Å, intensity 32.1, (0 4 1)
29.9°, 2.990 Å, intensity 17.8, (1 3 1)
33.8°, 2.655 Å, intensity 29.9, (0 6 1)
35.4°, 2.537 Å, intensity 78.3, (1 1 2)
36.4°, 2.465 Å, intensity 100.0, (1 5 1)
44.0°, 2.059 Å, intensity 30.6, (2 0 0)
46.5°, 1.953 Å, intensity 32.4, (0 4 3)
59.9°, 1.545 Å, intensity 18.0, (1 9 2)
65.9°, 1.417 Å, intensity 22.5, (2 4 3)

Record 6
Calculated powder diffraction line list
Compound: Ca5Mo
Radiation: CuKα
Structure: a crystal structure in Alexandria, relaxed with PBE

Atomic structure:
abc: 6.3854 6.3854 5.7709
angles: 90.00 90.00 120.00
Space group P-62m (No. 189)
Inequivalent atoms, fractional coordinates:
1 Ca 0.0000 0.6927 0.0000 (multiplicity 3)
2 Ca 0.3333 0.6667 0.5000 (multiplicity 2)
3 Mo 0.0000 0.0000 0.5000 (multiplicity 1)

Principal peaks in the range 10 to 90 degrees two-theta, low angle first:
16.0°, 5.530 Å, intensity 17.3, (1 0 0)
27.9°, 3.193 Å, intensity 26.6, (1 1 0)
31.0°, 2.885 Å, intensity 24.6, (0 0 2)
32.0°, 2.794 Å, intensity 100.0, (1 1 1)
42.2°, 2.141 Å, intensity 16.4, (1 1 2)
49.4°, 1.843 Å, intensity 17.0, (3 0 0)
55.8°, 1.648 Å, intensity 18.3, (1 1 3)
59.5°, 1.553 Å, intensity 18.7, (3 0 2)
60.1°, 1.539 Å, intensity 13.6, (2 2 1)
81.5°, 1.181 Å, intensity 10.1, (4 1 1)